1.
Starting from a cell relaxed with PBE, the powder diffractogram of Nd5Er2Sn5 was calculated for Cu Kα X-rays.
Intensities are scaled so that the largest is 100.

Structure:
```
data_Nd5Er2Sn5
_chemical_formula_sum 'Nd10 Er4 Sn10'
_cell_length_a 14.9765
_cell_length_b 4.4586
_cell_length_c 12.8127
_cell_angle_alpha 90.00
_cell_angle_beta 110.52
_cell_angle_gamma 90.00
_symmetry_space_group_name_H-M 'C 1 2/m 1'
_symmetry_Int_Tables_number 12
loop_
_symmetry_equiv_pos_as_xyz
'x,y,z'
'-x,-y,-z'
'-x,y,-z'
'x,-y,z'
'x+1/2,y+1/2,z'
'-x+1/2,-y+1/2,-z'
'-x+1/2,y+1/2,-z'
'x+1/2,-y+1/2,z'
loop_
_atom_site_label
_atom_site_fract_x
_atom_site_fract_y
_atom_site_fract_z
_atom_site_occupancy
Nd1 0.0000 0.0000 0.0000 1
Nd2 0.1607 0.0000 0.5398 1
Nd3 0.2257 0.0000 0.8432 1
Er1 0.0507 0.5000 0.2878 1
Sn1 0.0000 0.5000 0.5000 1
Sn2 0.1151 0.5000 0.9252 1
Sn3 0.1913 0.0000 0.2911 1
```

Principal peaks in the range 10 to 90 degrees two-theta, in order of rising 2θ:
2θ (°)  Rel. int.  h k l
26.8  60.7  3 1 -1
27.6  62.8  3 1 0
28.1  100.0  3 1 -2
29.3  79.2  2 0 3
30.4  65.5  3 1 1
31.1  76.7  3 1 -3
37.9  55.6  5 1 0
39.7  48.3  6 0 -4
40.5  71.6  0 2 0
40.9  59.8  5 1 1

***

2.
Starting from a cell relaxed with PBE, the powder diffractogram of TbNd4Er3 was calculated for Cu Kα X-rays.
Intensities are scaled so that the largest is 100.

Structure:
```
data_TbNd4Er3
_chemical_formula_sum 'Tb2 Nd8 Er6'
_cell_length_a 5.0987
_cell_length_b 10.1972
_cell_length_c 10.1597
_cell_angle_alpha 90.00
_cell_angle_beta 90.00
_cell_angle_gamma 90.00
_symmetry_space_group_name_H-M 'P m m n'
_symmetry_Int_Tables_number 59
loop_
_symmetry_equiv_pos_as_xyz
'x,y,z'
'-x,-y,-z'
'-x+1/2,-y+1/2,z'
'x+1/2,y+1/2,-z'
'x+1/2,-y,-z'
'-x+1/2,y,z'
'-x,y+1/2,-z'
'x,-y+1/2,z'
loop_
_atom_site_label
_atom_site_fract_x
_atom_site_fract_y
_atom_site_fract_z
_atom_site_occupancy
Tb1 0.2500 0.2500 0.1196 1
Nd1 0.2500 0.9997 0.3707 1
Nd2 0.2500 0.2500 0.6297 1
Nd3 0.2500 0.7500 0.6294 1
Er1 0.2500 0.0001 0.8803 1
Er2 0.2500 0.7500 0.1202 1
```

Principal peaks in the range 10 to 90 degrees two-theta, in order of rising 2θ:
2θ (°)  Rel. int.  h k l
30.4  100.0  1 2 2
35.2  34.0  2 0 0
35.3  16.6  0 0 4
50.6  12.2  2 4 0
50.7  23.8  2 0 4
60.2  28.8  3 2 2
60.4  13.9  1 2 6
63.3  12.3  2 4 4
82.6  11.5  3 2 6
85.1  11.0  4 4 0

***

3.
Starting from a cell relaxed with PBE, the powder diffractogram of Tb3Nd2Er3 was calculated for Cu Kα X-rays.
Intensities are scaled so that the largest is 100.

Structure:
```
data_Tb3Nd2Er3
_chemical_formula_sum 'Tb6 Nd4 Er6'
_cell_length_a 5.0558
_cell_length_b 5.0569
_cell_length_c 20.1353
_cell_angle_alpha 90.00
_cell_angle_beta 90.00
_cell_angle_gamma 90.00
_symmetry_space_group_name_H-M 'I m m m'
_symmetry_Int_Tables_number 71
_symmetry_space_group_name_Hall '-I 2 2'
loop_
_atom_site_label
_atom_site_fract_x
_atom_site_fract_y
_atom_site_fract_z
_atom_site_occupancy
Tb1 0.0000 0.0000 0.0000 1
Tb2 0.0000 0.5000 0.1228 1
Nd1 0.0000 0.0000 0.2501 1
Er1 0.0000 0.0000 0.5000 1
Er2 0.0000 0.5000 0.3769 1
```

Principal peaks in the range 10 to 90 degrees two-theta, in order of rising 2θ:
2θ (°)  Rel. int.  h k l
30.7  100.0  1 1 4
35.5  33.9  2 0 0
35.7  16.7  0 0 8
51.1  12.1  2 2 0
51.2  23.9  2 0 8
60.8  28.7  3 1 4
61.0  14.0  1 1 12
63.9  12.3  2 2 8
83.5  11.7  3 1 12
86.0  8.3  4 2 0

***

4.
Starting from a cell relaxed with PBE, the powder diffractogram of Tb4Nd2Er was calculated for Cu Kα X-rays.
Intensities are scaled so that the largest is 100.

Structure:
```
data_Tb4Nd2Er
_chemical_formula_sum 'Tb16 Nd8 Er4'
_cell_length_a 13.9681
_cell_length_b 3.7209
_cell_length_c 18.2544
_cell_angle_alpha 90.00
_cell_angle_beta 101.86
_cell_angle_gamma 90.00
_symmetry_space_group_name_H-M 'C 1 2/m 1'
_symmetry_Int_Tables_number 12
loop_
_symmetry_equiv_pos_as_xyz
'x,y,z'
'-x,-y,-z'
'-x,y,-z'
'x,-y,z'
'x+1/2,y+1/2,z'
'-x+1/2,-y+1/2,-z'
'-x+1/2,y+1/2,-z'
'x+1/2,-y+1/2,z'
loop_
_atom_site_label
_atom_site_fract_x
_atom_site_fract_y
_atom_site_fract_z
_atom_site_occupancy
Tb1 0.0448 0.0000 0.3217 1
Tb2 0.1416 0.5000 0.2010 1
Tb3 0.1989 0.0000 0.0561 1
Tb4 0.2114 0.5000 0.4266 1
Nd1 0.0939 0.0000 0.8561 1
Nd2 0.1576 0.5000 0.6809 1
Er1 0.0000 0.0000 0.5000 1
Er2 0.0000 0.5000 0.0000 1
```

Principal peaks in the range 10 to 90 degrees two-theta, in order of rising 2θ:
2θ (°)  Rel. int.  h k l
29.5  28.6  4 0 -4
29.9  56.3  4 0 2
30.2  63.2  2 0 -6
30.8  46.0  3 1 -1
31.1  61.0  1 1 -4
31.3  100.0  3 1 -2
32.1  31.7  3 1 1
32.8  90.9  1 1 4
49.0  34.9  0 2 0
59.9  25.8  5 1 7